Computed XRD peak list
Compound: ErB4Ru4
Radiation: λ = 1.5418 Å (Cu Kα)
Structure: a DFT-relaxed cell (GGA-PBE, the Materials Project)
Lines closer than 0.1° are merged.

Structure:
a = 9.1865 Å, b = 9.1865 Å, c = 9.1865 Å
α = 132.00°, β = 132.00°, γ = 70.24°
Fractional coordinates of all 36 atoms:
1 Er 0.1250 0.3750 0.7500
2 Er 0.3750 0.1250 0.2500
3 Er 0.6250 0.8750 0.7500
4 Er 0.8750 0.6250 0.2500
5 B 0.0672 0.1246 0.2777
6 B 0.1246 0.3469 0.0574
7 B 0.1531 0.3754 0.4426
8 B 0.2105 0.9328 0.5574
9 B 0.2895 0.8469 0.7223
10 B 0.3469 0.7895 0.2223
11 B 0.3754 0.4328 0.2223
12 B 0.4328 0.7105 0.0574
13 B 0.5672 0.2895 0.9426
14 B 0.6246 0.5672 0.7777
15 B 0.6531 0.2105 0.7777
16 B 0.7105 0.1531 0.2777
17 B 0.7895 0.0672 0.4426
18 B 0.8469 0.6246 0.5574
19 B 0.8754 0.6531 0.9426
20 B 0.9328 0.8754 0.7223
21 Ru 0.0377 0.8211 0.9853
22 Ru 0.0524 0.0377 0.7166
23 Ru 0.1642 0.6789 0.7166
24 Ru 0.1789 0.6642 0.2166
25 Ru 0.3211 0.5377 0.4853
26 Ru 0.3358 0.0524 0.5147
27 Ru 0.4476 0.1642 0.9853
28 Ru 0.4623 0.4476 0.7834
29 Ru 0.5377 0.5524 0.2166
30 Ru 0.5524 0.8358 0.0147
31 Ru 0.6642 0.9476 0.4853
32 Ru 0.6789 0.4623 0.5147
33 Ru 0.8211 0.3358 0.7834
34 Ru 0.8358 0.3211 0.2834
35 Ru 0.9476 0.9623 0.2834
36 Ru 0.9623 0.1789 0.0147

Main lines, by angle (10° ≤ 2θ ≤ 80°):
two_theta, d/Å, I (rel.)
23.81, 3.737, 12
32.20, 2.780, 57
33.86, 2.647, 30
39.83, 2.263, 43
39.99, 2.254, 100
40.36, 2.235, 35
54.92, 1.672, 14
64.69, 1.441, 13
64.81, 1.439, 13
71.17, 1.325, 25